Record 1
Starting from a PBE-relaxed structure, the PXRD pattern of Al2Tc2Sb was computed for CuKα.
Neutral-atom scattering factors, no anomalous dispersion.

Most intense lines, 10 to 80 degrees two-theta, in order of falling intensity:
2θ 39.77, I 100; 2θ 40.22, I 84; 2θ 37.60, I 79; 2θ 32.90, I 49; 2θ 28.14, I 45; 2θ 62.53, I 31; 2θ 71.88, I 29; 2θ 35.82, I 27; 2θ 60.99, I 18; 2θ 56.81, I 17

a = 7.091 Å, b = 7.091 Å, c = 3.241 Å
α = 90.00°, β = 90.00°, γ = 90.00°
Positions (direct):
Al: 0.127 0.373 0.000
Al: 0.373 0.873 0.000
Al: 0.627 0.127 0.000
Al: 0.873 0.627 0.000
Tc: 0.166 0.666 0.500
Tc: 0.334 0.166 0.500
Tc: 0.666 0.834 0.500
Tc: 0.834 0.334 0.500
Sb: 0.000 0.000 0.000
Sb: 0.500 0.500 0.000



Record 2
Starting from a PBE-relaxed structure, the PXRD pattern of AlTcSb2 was computed for CuKα.
Neutral-atom scattering factors, no anomalous dispersion.

Most intense lines, 10 to 80 degrees two-theta, in order of falling intensity:
2θ 32.61, I 100; 2θ 36.50, I 43; 2θ 42.10, I 35; 2θ 56.21, I 31; 2θ 41.18, I 28; 2θ 27.38, I 27; 2θ 42.49, I 23; 2θ 48.15, I 18; 2θ 36.94, I 15; 2θ 65.18, I 14

a = 4.384 Å, b = 5.221 Å, c = 5.221 Å
α = 42.44°, β = 90.00°, γ = 90.00°
Positions (direct):
Al: 0.000 0.000 0.000
Tc: 0.500 0.861 0.861
Sb: 0.000 0.279 0.279
Sb: 0.500 0.571 0.571



Record 3
Starting from a PBE-relaxed structure, the PXRD pattern of AlSbTe3 was computed for CuKα.
Neutral-atom scattering factors, no anomalous dispersion.

Most intense lines, 10 to 80 degrees two-theta, in order of falling intensity:
2θ 25.69, I 100; 2θ 24.21, I 97; 2θ 34.12, I 97; 2θ 31.33, I 92; 2θ 31.99, I 79; 2θ 25.29, I 76; 2θ 27.60, I 66; 2θ 26.07, I 64; 2θ 23.10, I 61; 2θ 46.74, I 60

a = 8.333 Å, b = 4.109 Å, c = 11.048 Å
α = 90.00°, β = 93.34°, γ = 90.00°
Positions (direct):
Al: 0.041 0.250 0.383
Al: 0.959 0.750 0.617
Sb: 0.286 0.250 0.932
Sb: 0.714 0.750 0.068
Te: 0.004 0.750 0.850
Te: 0.215 0.750 0.479
Te: 0.495 0.750 0.828
Te: 0.505 0.250 0.172
Te: 0.785 0.250 0.521
Te: 0.996 0.250 0.150



Record 4
Starting from a PBE-relaxed structure, the PXRD pattern of Al5Sb3Te3 was computed for CuKα.
Neutral-atom scattering factors, no anomalous dispersion.

Most intense lines, 10 to 80 degrees two-theta, in order of falling intensity:
2θ 25.04, I 100; 2θ 41.37, I 35; 2θ 49.24, I 30; 2θ 29.13, I 22; 2θ 41.67, I 17; 2θ 48.70, I 16; 2θ 65.99, I 12; 2θ 28.72, I 11; 2θ 75.85, I 11; 2θ 51.39, I 9

a = 4.334 Å, b = 13.007 Å, c = 6.217 Å
α = 90.00°, β = 90.00°, γ = 90.00°
Positions (direct):
Al: 0.000 0.000 0.000
Al: 0.000 0.341 0.013
Al: 0.000 0.659 0.013
Al: 0.500 0.169 0.503
Al: 0.500 0.831 0.503
Sb: 0.000 0.172 0.758
Sb: 0.000 0.828 0.758
Sb: 0.500 0.000 0.255
Te: 0.000 0.500 0.765
Te: 0.500 0.344 0.278
Te: 0.500 0.656 0.278



Record 5
Starting from a PBE-relaxed structure, the PXRD pattern of Ti7Al2Sb2 was computed for CuKα.
Neutral-atom scattering factors, no anomalous dispersion.

Most intense lines, 10 to 80 degrees two-theta, in order of falling intensity:
2θ 37.71, I 100; 2θ 37.91, I 83; 2θ 18.61, I 73; 2θ 38.91, I 59; 2θ 42.61, I 56; 2θ 38.76, I 46; 2θ 23.82, I 40; 2θ 42.14, I 39; 2θ 28.03, I 37; 2θ 48.68, I 31

a = 5.656 Å, b = 5.661 Å, c = 6.794 Å
α = 74.79°, β = 77.54°, γ = 82.83°
Positions (direct):
Ti: 0.000 0.000 0.000
Ti: 0.250 0.992 0.547
Ti: 0.267 0.501 0.497
Ti: 0.387 0.657 0.854
Ti: 0.613 0.343 0.146
Ti: 0.733 0.499 0.503
Ti: 0.750 0.008 0.453
Al: 0.484 0.154 0.814
Al: 0.516 0.846 0.186
Sb: 0.099 0.338 0.206
Sb: 0.901 0.662 0.794



Record 6
Starting from a PBE-relaxed structure, the PXRD pattern of Ti4AlSb was computed for CuKα.
Neutral-atom scattering factors, no anomalous dispersion.

Most intense lines, 10 to 80 degrees two-theta, in order of falling intensity:
2θ 37.66, I 100; 2θ 38.46, I 90; 2θ 41.58, I 35; 2θ 41.87, I 34; 2θ 28.41, I 29; 2θ 15.01, I 27; 2θ 48.94, I 21; 2θ 20.58, I 17; 2θ 66.12, I 16; 2θ 66.33, I 16

a = 5.118 Å, b = 5.118 Å, c = 6.230 Å
α = 107.37°, β = 107.37°, γ = 42.65°
Positions (direct):
Ti: 0.167 0.167 0.344
Ti: 0.169 0.169 0.825
Ti: 0.831 0.831 0.175
Ti: 0.833 0.833 0.656
Al: 0.500 0.500 0.500
Sb: 0.500 0.500 0.000



Record 7
Starting from a PBE-relaxed structure, the PXRD pattern of Tm7Al2Sb2 was computed for CuKα.
Neutral-atom scattering factors, no anomalous dispersion.

Most intense lines, 10 to 80 degrees two-theta, in order of falling intensity:
2θ 37.19, I 100; 2θ 28.58, I 99; 2θ 33.59, I 63; 2θ 36.43, I 57; 2θ 27.37, I 46; 2θ 25.91, I 43; 2θ 35.24, I 34; 2θ 33.03, I 32; 2θ 30.04, I 31; 2θ 57.05, I 28

a = 6.581 Å, b = 6.581 Å, c = 7.640 Å
α = 90.00°, β = 90.00°, γ = 108.35°
Positions (direct):
Tm: 0.000 0.000 0.000
Tm: 0.000 0.500 0.292
Tm: 0.000 0.500 0.708
Tm: 0.500 0.000 0.292
Tm: 0.500 0.000 0.708
Tm: 0.500 0.500 0.281
Tm: 0.500 0.500 0.719
Al: 0.170 0.170 0.500
Al: 0.830 0.830 0.500
Sb: 0.298 0.702 0.000
Sb: 0.702 0.298 0.000



Record 8
Starting from a PBE-relaxed structure, the PXRD pattern of U2AlSb4 was computed for CuKα.
Neutral-atom scattering factors, no anomalous dispersion.

Most intense lines, 10 to 80 degrees two-theta, in order of falling intensity:
2θ 34.42, I 100; 2θ 41.20, I 40; 2θ 34.64, I 28; 2θ 70.74, I 25; 2θ 22.29, I 24; 2θ 30.30, I 22; 2θ 28.81, I 20; 2θ 51.86, I 19; 2θ 68.28, I 17; 2θ 54.89, I 16

a = 4.383 Å, b = 4.383 Å, c = 9.628 Å
α = 90.00°, β = 90.00°, γ = 90.00°
Positions (direct):
U: 0.000 0.500 0.250
U: 0.500 0.000 0.750
Al: 0.000 0.000 0.500
Sb: 0.000 0.000 0.000
Sb: 0.000 0.500 0.667
Sb: 0.500 0.000 0.333
Sb: 0.500 0.500 0.000



Record 9
Starting from a PBE-relaxed structure, the PXRD pattern of YAlSb2 was computed for CuKα.
Neutral-atom scattering factors, no anomalous dispersion.

Most intense lines, 10 to 80 degrees two-theta, in order of falling intensity:
2θ 29.82, I 100; 2θ 43.66, I 36; 2θ 41.66, I 35; 2θ 53.77, I 18; 2θ 26.13, I 16; 2θ 71.67, I 15; 2θ 68.79, I 13; 2θ 32.32, I 11; 2θ 61.93, I 11; 2θ 78.82, I 11

a = 7.637 Å, b = 7.637 Å, c = 7.637 Å
α = 31.50°, β = 31.50°, γ = 31.50°
Positions (direct):
Y: 0.000 0.000 0.000
Al: 0.500 0.500 0.500
Sb: 0.241 0.241 0.241
Sb: 0.759 0.759 0.759



Record 10
Starting from a PBE-relaxed structure, the PXRD pattern of Al2ZnSb was computed for CuKα.
Neutral-atom scattering factors, no anomalous dispersion.

Most intense lines, 10 to 80 degrees two-theta, in order of falling intensity:
2θ 36.65, I 100; 2θ 36.20, I 100; 2θ 40.18, I 74; 2θ 22.69, I 53; 2θ 62.98, I 38; 2θ 27.82, I 35; 2θ 46.63, I 34; 2θ 28.39, I 31; 2θ 70.99, I 26; 2θ 46.35, I 25

a = 3.143 Å, b = 3.918 Å, c = 6.413 Å
α = 90.00°, β = 90.00°, γ = 90.00°
Positions (direct):
Al: 0.000 0.000 0.216
Al: 0.000 0.000 0.784
Zn: 0.500 0.500 0.000
Sb: 0.500 0.500 0.500



Record 11
Starting from a PBE-relaxed structure, the PXRD pattern of Sc2Al was computed for CuKα.
Neutral-atom scattering factors, no anomalous dispersion.

Most intense lines, 10 to 80 degrees two-theta, in order of falling intensity:
2θ 36.81, I 100; 2θ 37.17, I 27; 2θ 34.95, I 22; 2θ 66.77, I 15; 2θ 51.94, I 13; 2θ 29.65, I 9; 2θ 39.75, I 9; 2θ 54.13, I 8; 2θ 67.49, I 8; 2θ 63.90, I 8

a = 7.886 Å, b = 7.886 Å, c = 4.838 Å
α = 90.00°, β = 90.00°, γ = 155.19°
Positions (direct):
Sc: 0.087 0.913 0.750
Sc: 0.226 0.774 0.250
Sc: 0.774 0.226 0.750
Sc: 0.913 0.087 0.250
Al: 0.429 0.571 0.750
Al: 0.571 0.429 0.250



Record 12
Starting from a PBE-relaxed structure, the PXRD pattern of ScAl was computed for CuKα.
Neutral-atom scattering factors, no anomalous dispersion.

Most intense lines, 10 to 80 degrees two-theta, in order of falling intensity:
2θ 34.66, I 100; 2θ 41.89, I 45; 2θ 39.00, I 40; 2θ 31.27, I 38; 2θ 42.68, I 21; 2θ 72.04, I 20; 2θ 27.17, I 20; 2θ 34.19, I 20; 2θ 69.13, I 18; 2θ 40.44, I 16

a = 6.565 Å, b = 3.041 Å, c = 8.440 Å
α = 90.00°, β = 90.00°, γ = 90.00°
Positions (direct):
Sc: 0.018 0.250 0.188
Sc: 0.482 0.750 0.688
Sc: 0.518 0.250 0.312
Sc: 0.982 0.750 0.812
Al: 0.165 0.250 0.530
Al: 0.335 0.750 0.030
Al: 0.665 0.250 0.970
Al: 0.835 0.750 0.470